Dy7In2Ru2: simulated PXRD pattern (Cu Kα (weighted mean of Kα1 and Kα2)), based on DFT lattice parameters and positions (PBE).
Lines closer than 0.1° are merged.

Structural model:
Cell lengths 6.787, 6.787, 7.105 Å; angles 90.00, 90.00, 107.38 degrees
Sites, in units of the cell vectors:
Dy  0.000  0.000  0.000
Dy  0.000  0.500  0.250
Dy  0.000  0.500  0.750
Dy  0.500  0.000  0.250
Dy  0.500  0.000  0.750
Dy  0.500  0.500  0.242
Dy  0.500  0.500  0.758
In  0.176  0.176  0.500
In  0.824  0.824  0.500
Ru  0.294  0.706  0.000
Ru  0.706  0.294  0.000

Most intense lines, 10 to 80 degrees two-theta, low angle first:
d [Å]	two_theta	intensity
3.498	25.5	31
3.239	27.5	59
3.115	28.7	46
2.735	32.7	61
2.426	37.1	45
2.393	37.6	100